Diffraction record for CaYMn2O6. The XRD peak list is calculated, not measured: it uses a GGA+U-relaxed structure and Cu Kα X-rays.
No peak broadening, texture or thermal motion is included.

Structure:
Lattice parameters (Å, degrees): 7.571 5.560 5.357 90.00 90.00 90.00
Space group Pmn2_1 (No. 31)
Inequivalent atoms, fractional coordinates:
Ca (0.000, 0.197, 0.000) [2 per cell]
Y (0.000, 0.686, 0.472) [2 per cell]
Mn (0.250, 0.246, 0.488) [4 per cell]
O (0.000, 0.282, 0.575) [2 per cell]
O (0.000, 0.777, 0.887) [2 per cell]
O (0.200, 0.948, 0.292) [4 per cell]
O (0.203, 0.459, 0.197) [4 per cell]

Peak list (10 most intense, 10° ≤ 2θ ≤ 90°, by intensity)
h k l, d [Å], 2θ (°), I_rel
2 1 1, 2.702, 33.16, 100
0 2 2, 1.929, 47.12, 29
2 1 3, 1.551, 59.61, 25
0 0 2, 2.679, 33.45, 24
0 2 0, 2.780, 32.20, 22
4 0 0, 1.893, 48.07, 18
4 2 2, 1.351, 69.59, 13
3 2 0, 1.869, 48.72, 11
4 0 2, 1.546, 59.83, 11
1 1 1, 3.437, 25.92, 11